Record 1
Diffraction record for Nd2EuSn. The PXRD pattern is theoretical, not measured: it uses a structure optimized by DFT (GGA-PBE) and Cu Ka.
Neutral-atom scattering factors, no anomalous dispersion.

Principal peaks in the range 10° ≤ 2θ ≤ 90°, by angle:
two_theta  d (Å)  I (rel.)
31.10  2.876  100.0
35.68  2.516  34.7
36.82  2.441  15.9
52.21  1.752  23.5
61.27  1.513  29.1
62.78  1.480  13.5

Structural model:
```
Nd2EuSn
1.0
5.032 0.000 0.000
0.000 5.032 0.000
0.000 0.000 4.883
Nd Eu Sn
2 1 1
direct
0.000 0.500 0.000 Nd
0.500 0.000 0.000 Nd
0.000 0.000 0.500 Eu
0.500 0.500 0.500 Sn
```

Record 2
Diffraction record for TlSn4. The PXRD pattern is theoretical, not measured: it uses a structure optimized by DFT (GGA-PBE) and Cu Ka.
Neutral-atom scattering factors, no anomalous dispersion.

Principal peaks in the range 10° ≤ 2θ ≤ 90°, by angle:
two_theta  d (Å)  I (rel.)
28.47  3.135  100.0
30.11  2.968  83.6
32.52  2.754  99.8
44.91  2.019  57.2
55.56  1.654  32.1
57.43  1.604  41.2

Structural model:
```
TlSn4
1.0
3.900 -5.284 0.000
3.900 5.284 0.000
0.000 0.000 7.778
Tl Sn
2 8
direct
0.250 0.750 0.750 Tl
0.750 0.250 0.250 Tl
0.114 0.886 0.250 Sn
0.250 0.250 0.000 Sn
0.250 0.250 0.500 Sn
0.385 0.615 0.250 Sn
0.615 0.385 0.750 Sn
0.750 0.750 0.000 Sn
0.750 0.750 0.500 Sn
0.886 0.114 0.750 Sn
```